Record 1
Simulated powder X-ray diffraction pattern
Compound: MnO2
Radiation: CuKα
Structure: a crystal structure in the Materials Project, relaxed with GGA+U
Lines closer than 0.1° are merged.

The 8 most intense peaks (15 to 90 degrees two-theta), sorted by position:
Position (°2θ)	Rel. int.
18.52	83
22.95	46
29.52	70
31.11	53
35.31	71
35.42	100
37.96	73
42.45	49

Cell and atoms:
```
48
Lattice="4.937 -2.997 0.000 4.937 2.997 0.000 -4.752 0.000 18.999" Properties=species:S:1:pos:R:3 pbc="T T T"
Mn 0.000 0.000 0.000
Mn 0.137 1.532 11.439
Mn 2.576 1.512 1.754
Mn 1.323 1.441 6.559
Mn -0.982 1.491 16.097
Mn -2.170 0.000 13.247
Mn 0.806 0.000 8.976
Mn 3.615 0.000 4.631
Mn 1.380 0.000 14.263
Mn 1.323 -1.441 6.559
Mn -0.982 -1.491 16.097
Mn 2.576 -1.512 1.754
Mn 0.137 -1.532 11.439
Mn 1.577 0.000 17.888
Mn 6.931 0.000 4.106
Mn 7.407 0.000 9.422
O 2.774 1.626 5.280
O 4.168 1.563 0.591
O 1.549 1.392 10.117
O 1.697 0.000 0.807
O -0.633 0.000 10.336
O 0.564 1.417 14.898
O -1.777 0.000 15.069
O 0.617 0.000 5.605
O 0.917 0.000 12.483
O 2.151 0.000 7.584
O 3.391 0.000 2.692
O 3.502 1.564 12.579
O -0.112 0.000 17.099
O 4.944 1.666 7.888
O 2.410 1.419 17.291
O 6.182 1.357 3.031
O 1.549 -1.392 10.117
O 0.564 -1.417 14.898
O 2.774 -1.626 5.280
O 5.478 0.000 5.492
O 3.085 0.000 15.098
O 4.168 -1.563 0.591
O 6.753 0.000 0.680
O 4.306 0.000 10.568
O 7.020 0.000 7.553
O 8.286 0.000 2.769
O 4.737 0.000 17.155
O 2.410 -1.419 17.291
O 5.997 0.000 12.364
O 6.182 -1.357 3.031
O 3.502 -1.564 12.579
O 4.944 -1.666 7.888
```


Record 2
Simulated powder X-ray diffraction pattern
Compound: Ba2W3O7
Radiation: CuKα
Structure: a crystal structure in the Materials Project, relaxed with GGA+U
Lines closer than 0.1° are merged.

The 8 most intense peaks (15 to 90 degrees two-theta), sorted by position:
Position (°2θ)	Rel. int.
22.01	24
26.52	41
31.32	100
37.05	24
44.89	26
49.28	24
55.75	23
59.57	20

Cell and atoms:
```
12
Lattice="4.037 0.000 0.000 0.000 4.038 0.000 0.000 0.000 12.134" Properties=species:S:1:pos:R:3 pbc="T T T"
Ba 0.000 0.000 2.419
Ba 0.000 0.000 9.714
W 2.019 2.019 0.000
W 2.019 2.019 4.632
W 2.019 2.019 7.502
O 0.000 2.019 0.000
O 0.000 2.019 4.431
O 0.000 2.019 7.702
O 2.019 0.000 4.304
O 2.019 0.000 7.830
O 2.019 2.019 1.922
O 2.019 2.019 10.212
```


Record 3
Simulated powder X-ray diffraction pattern
Compound: Fe3P2O10
Radiation: CuKα
Structure: a crystal structure in the Materials Project, relaxed with GGA+U
Lines closer than 0.1° are merged.

The 8 most intense peaks (15 to 90 degrees two-theta), sorted by position:
Position (°2θ)	Rel. int.
18.09	32
26.71	48
26.97	100
27.25	34
27.82	27
38.96	20
56.24	23
57.50	20

Cell and atoms:
```
30
Lattice="7.480 0.000 0.000 0.000 7.407 0.000 -3.577 0.000 6.465" Properties=species:S:1:pos:R:3 pbc="T T T"
Fe 0.000 0.000 0.000
Fe -1.789 3.704 3.233
Fe -0.807 1.668 5.028
Fe 0.981 2.035 1.796
Fe 2.922 5.372 4.669
Fe 4.710 5.739 1.437
P -1.685 4.647 6.453
P 0.104 6.464 3.220
P 3.799 0.943 3.245
P 5.588 2.761 0.012
O -0.982 5.474 2.702
O -2.771 5.637 5.934
O -1.397 3.714 5.227
O 0.392 7.397 1.994
O 1.568 1.070 0.018
O -0.221 2.633 3.250
O 1.365 3.801 1.141
O -0.424 7.310 4.373
O 3.133 5.439 0.378
O 1.344 5.672 3.611
O 2.559 1.735 2.854
O 0.770 1.968 6.087
O 4.327 0.097 2.092
O 2.538 3.607 5.324
O 4.124 4.774 3.215
O 2.335 6.337 6.447
O 3.511 0.011 4.471
O 5.300 3.693 1.238
O 6.674 1.771 0.531
O 4.885 1.933 3.763
```


Record 4
Simulated powder X-ray diffraction pattern
Compound: Mn6O5F7
Radiation: CuKα
Structure: a crystal structure in the Materials Project, relaxed with GGA+U
Lines closer than 0.1° are merged.

The 8 most intense peaks (15 to 90 degrees two-theta), sorted by position:
Position (°2θ)	Rel. int.
24.12	100
24.78	94
29.56	96
29.78	92
30.12	91
30.32	81
35.67	70
52.73	76

Cell and atoms:
```
36
Lattice="4.704 0.000 0.000 0.155 5.751 0.000 0.148 0.004 15.625" Properties=species:S:1:pos:R:3 pbc="T T T"
Mn 0.000 0.000 0.000
Mn 0.192 1.759 12.871
Mn 2.270 4.679 13.036
Mn 2.224 2.959 5.268
Mn 2.315 2.939 10.466
Mn 2.355 4.761 2.665
Mn 2.481 4.664 7.920
Mn 2.386 2.858 0.016
Mn 4.593 1.591 2.475
Mn 4.794 5.687 5.058
Mn 4.866 5.676 10.320
Mn 4.773 1.781 7.760
O 1.015 0.250 12.021
O 0.985 0.246 1.672
O 1.359 3.093 12.103
O 1.380 4.464 4.344
O 1.488 4.431 14.776
O 1.445 4.398 9.569
O 1.401 3.157 7.007
O 3.636 0.194 3.420
O 3.647 1.484 0.839
O 3.728 0.147 8.642
F 1.035 1.612 4.139
F 1.109 0.276 6.692
F 1.204 1.489 9.462
F 1.180 3.061 1.786
F 1.317 1.545 14.649
F 3.527 4.518 11.448
F 3.436 2.997 3.476
F 3.454 4.374 0.966
F 3.577 4.431 6.212
F 3.573 3.033 8.896
F 3.581 1.556 11.171
F 3.674 3.089 13.808
F 3.591 1.535 5.946
F 3.740 0.273 13.915
```


Record 5
Simulated powder X-ray diffraction pattern
Compound: LiNdFe4O12
Radiation: CuKα
Structure: a crystal structure in the Materials Project, relaxed with GGA+U
Lines closer than 0.1° are merged.

The 8 most intense peaks (15 to 90 degrees two-theta), sorted by position:
Position (°2θ)	Rel. int.
16.49	58
20.15	78
23.41	32
26.15	40
33.12	100
33.34	50
47.87	54
59.44	38

Cell and atoms:
```
18
Lattice="5.375 0.000 0.000 0.000 5.375 0.000 0.000 0.000 7.701" Properties=species:S:1:pos:R:3 pbc="T T T"
Li 0.000 0.000 0.000
Nd 2.687 2.687 3.851
Fe 0.000 2.687 1.875
Fe 0.000 2.687 5.826
Fe 2.687 0.000 1.875
Fe 2.687 0.000 5.826
O 0.000 2.687 0.000
O 0.000 2.687 3.851
O 1.385 1.385 1.993
O 1.385 1.385 5.708
O 1.385 3.990 1.993
O 1.385 3.990 5.708
O 2.687 0.000 0.000
O 2.687 0.000 3.851
O 3.990 1.385 1.993
O 3.990 1.385 5.708
O 3.990 3.990 1.993
O 3.990 3.990 5.708
```


Record 6
Simulated powder X-ray diffraction pattern
Compound: Li3CrC3O9
Radiation: CuKα
Structure: a crystal structure in the Materials Project, relaxed with GGA+U
Lines closer than 0.1° are merged.

The 8 most intense peaks (15 to 90 degrees two-theta), sorted by position:
Position (°2θ)	Rel. int.
18.10	100
18.27	64
18.70	28
24.37	35
31.51	37
32.33	24
36.67	51
42.60	18

Cell and atoms:
```
32
Lattice="9.490 0.000 0.000 0.000 4.855 3.544 0.000 -4.855 3.544" Properties=species:S:1:pos:R:3 pbc="T T T"
Li 0.000 0.000 0.000
Li 2.372 0.147 2.334
Li 2.372 3.058 3.274
Li 4.745 0.000 0.000
Li 7.117 -3.058 3.274
Li 7.117 -0.147 2.334
Cr 2.372 -2.569 3.509
Cr 7.117 2.569 3.509
C 0.156 2.104 2.068
C 2.372 0.320 4.857
C 4.589 2.104 2.068
C 4.900 -2.104 2.068
C 7.117 -0.320 4.857
C 9.334 -2.104 2.068
O 0.533 3.162 2.638
O 0.975 1.394 1.298
O 1.063 -1.643 2.219
O 2.372 -0.909 4.493
O 2.372 1.253 4.002
O 2.372 0.518 6.169
O 3.681 -1.643 2.219
O 3.770 1.394 1.298
O 4.212 3.162 2.638
O 5.278 -3.162 2.638
O 5.720 -1.394 1.298
O 5.808 1.643 2.219
O 7.117 -1.253 4.002
O 7.117 0.909 4.493
O 7.117 -0.518 6.169
O 8.426 1.643 2.219
O 8.515 -1.394 1.298
O 8.957 -3.162 2.638
```